This entry pairs a crystal structure of Nd2BiO2 with its simulated XRD peak list. Radiation: copper Kα. Structure: a structure optimized by DFT (PBE).
Peak positions follow from Bragg's law for the DFT cell and can differ from measured ones.

Unit cell a=4.0232 b=4.0232 c=14.0709 alpha=90.00 beta=90.00 gamma=90.00
Positions (direct):
Nd (0.0000, 0.0000, 0.1658)
Nd (0.0000, 0.0000, 0.8342)
Nd (0.5000, 0.5000, 0.3342)
Nd (0.5000, 0.5000, 0.6658)
Bi (0.0000, 0.0000, 0.5000)
Bi (0.5000, 0.5000, 0.0000)
O (0.0000, 0.5000, 0.2500)
O (0.0000, 0.5000, 0.7500)
O (0.5000, 0.0000, 0.2500)
O (0.5000, 0.0000, 0.7500)

Top 10 peaks for 15 to 90 degrees two-theta, by angle:
hkl	2theta	I_rel
1 0 3	29.2	100
1 1 0	31.4	36
0 0 6	38.4	11
2 0 0	45.1	18
1 1 6	50.4	25
2 1 3	54.6	35
2 0 6	60.7	12
1 0 9	63.9	11
2 1 9	81.6	11
3 1 6	87.2	11